# 1
Nd5Tm2Sn5: computed PXRD pattern (Cu Kα), based on a cell relaxed with PBE.
Intensities are scaled so that the largest is 100.

Crystal structure
```
Nd5Tm2Sn5
1.0
7.484 -2.229 0.000
7.484 2.229 0.000
-4.544 0.000 11.950
Nd Tm Sn
5 2 5
Direct
0.000 0.000 0.000
0.161 0.161 0.539
0.225 0.225 0.843
0.775 0.775 0.157
0.839 0.839 0.461
0.449 0.449 0.712
0.551 0.551 0.288
0.191 0.191 0.290
0.385 0.385 0.075
0.500 0.500 0.500
0.615 0.615 0.925
0.809 0.809 0.710
```

Principal peaks in the range 2θ from 10° to 90°, sorted by position:
d/Å	two_theta	I (rel.)
3.324	26.8	41
3.223	27.7	44
3.183	28.0	100
3.029	29.5	55
2.936	30.4	45
2.874	31.1	54
2.372	37.9	39
2.271	39.7	34
2.229	40.5	50
2.202	41.0	32

***

# 2
Cu2RuPb3O6: computed PXRD pattern (Cu Kα), based on a cell relaxed with PBE.
Intensities are scaled so that the largest is 100.

Crystal structure
```
Cu2RuPb3O6
1.0
5.790 0.000 0.000
-2.895 5.014 0.000
0.000 0.000 6.042
Cu Ru Pb O
2 1 3 6
Direct
0.333 0.667 0.113
0.667 0.333 0.887
0.000 0.000 0.500
0.000 0.000 0.000
0.333 0.667 0.630
0.667 0.333 0.370
0.170 0.340 0.322
0.170 0.830 0.322
0.340 0.170 0.678
0.660 0.830 0.322
0.830 0.170 0.678
0.830 0.660 0.678
```

Principal peaks in the range 2θ from 10° to 90°, sorted by position:
d/Å	two_theta	I (rel.)
3.859	23.0	32
2.895	30.9	100
2.588	34.7	64
2.316	38.9	18
1.929	47.1	37
1.671	54.9	20
1.605	57.4	31
1.447	64.4	28
1.263	75.2	14
1.181	81.5	13

***

# 3
Ac2LaNi6: computed PXRD pattern (Cu Kα), based on a cell relaxed with PBE.
Intensities are scaled so that the largest is 100.

Crystal structure
```
Ac2LaNi6
1.0
7.129 0.000 0.000
-3.564 6.174 0.000
0.000 0.000 4.165
Ac La Ni
2 1 6
Direct
0.333 0.667 0.000
0.667 0.333 0.000
0.000 0.000 0.000
0.000 0.332 0.500
0.000 0.668 0.500
0.332 0.000 0.500
0.332 0.332 0.500
0.668 0.000 0.500
0.668 0.668 0.500
```

Principal peaks in the range 2θ from 10° to 90°, sorted by position:
d/Å	two_theta	I (rel.)
3.564	25.0	24
2.708	33.1	100
2.083	43.5	12
2.058	44.0	36
1.798	50.8	8
1.639	56.1	22
1.464	63.6	23
1.294	73.2	10
1.282	73.9	19
1.095	89.5	6

***

# 4
KPuIn2O6: computed PXRD pattern (Cu Kα), based on a cell relaxed with PBE.
Intensities are scaled so that the largest is 100.

Crystal structure
```
KPuIn2O6
1.0
2.905 1.677 5.102
-2.905 1.677 5.102
0.000 -3.354 5.102
K Pu In O
1 1 2 6
Direct
0.000 0.000 0.000
0.465 0.465 0.465
0.260 0.260 0.260
0.777 0.777 0.777
0.070 0.598 0.451
0.182 0.527 0.872
0.451 0.070 0.598
0.527 0.872 0.182
0.598 0.451 0.070
0.872 0.182 0.527
```

Principal peaks in the range 2θ from 10° to 90°, sorted by position:
d/Å	two_theta	I (rel.)
5.102	17.4	33
4.779	18.6	58
4.204	21.1	32
3.046	29.3	81
2.905	30.8	100
2.524	35.6	33
2.102	43.0	33
1.917	47.4	48
1.703	53.8	36
1.677	54.7	28